For Mg2H5Ir2, a GGA-PBE-relaxed structure gives the computed PXRD pattern in this record (Cu Kα X-rays).
Kinematic intensities with the Lorentz-polarization factor, no thermal factor.

Largest 10 diffraction maxima, by angle, 10° ≤ 2θ ≤ 90°:
d/Å, 2θ (°), Rel. int.
4.216, 21.1, 86
3.198, 27.9, 100
2.983, 30.0, 34
2.569, 34.9, 31
2.320, 38.8, 29
2.227, 40.5, 44
2.186, 41.3, 23
2.176, 41.5, 22
2.138, 42.3, 36
2.108, 42.9, 18

Atomic structure:
a = 3.4565 Å, b = 4.5718 Å, c = 6.0016 Å
α = 95.70°, β = 90.07°, γ = 111.94°
Space group P1 (No. 1)
One atom of each set of equivalent atoms:
Mg1 0.0000 0.0000 0.0000
Mg2 0.3852 0.7755 0.5439
H1 0.1667 0.3335 0.7290
H2 0.2503 0.5030 0.1831
H3 0.5307 0.0624 0.1694
H4 0.6307 0.2568 0.4884
H5 0.9184 0.8398 0.3263
Ir1 0.6999 0.4011 0.7684
Ir2 0.7254 0.4526 0.2339